K2BiH5C5O10: theoretical powder diffractogram (copper Kα), based on a GGA-PBE-relaxed structure.
Lines closer than 0.1° are merged.

Lattice parameters (Å, degrees): 7.247 7.247 12.382 92.54 92.54 112.35
Sites, in units of the cell vectors:
K 0.045 0.751 0.881
K 0.249 0.955 0.619
K 0.751 0.045 0.381
K 0.955 0.249 0.119
Bi 0.170 0.830 0.250
Bi 0.830 0.170 0.750
H 0.225 0.514 0.544
H 0.346 0.349 0.432
H 0.349 0.346 0.932
H 0.486 0.775 0.956
H 0.495 0.505 0.750
H 0.505 0.495 0.250
H 0.514 0.225 0.044
H 0.651 0.654 0.068
H 0.654 0.651 0.568
H 0.775 0.486 0.456
C 0.114 0.430 0.601
C 0.202 0.299 0.886
C 0.299 0.202 0.386
C 0.413 0.587 0.250
C 0.430 0.114 0.101
C 0.570 0.886 0.899
C 0.587 0.413 0.750
C 0.701 0.798 0.614
C 0.798 0.701 0.114
C 0.886 0.570 0.399
O 0.026 0.241 0.581
O 0.084 0.526 0.681
O 0.086 0.387 0.909
O 0.160 0.161 0.311
O 0.161 0.160 0.811
O 0.241 0.026 0.081
O 0.310 0.582 0.163
O 0.387 0.086 0.409
O 0.418 0.690 0.337
O 0.474 0.916 0.819
O 0.526 0.084 0.181
O 0.582 0.310 0.663
O 0.613 0.914 0.591
O 0.690 0.418 0.837
O 0.759 0.974 0.919
O 0.839 0.840 0.189
O 0.840 0.839 0.689
O 0.914 0.613 0.091
O 0.916 0.474 0.319
O 0.974 0.759 0.419

Largest 12 diffraction maxima, in order of rising 2θ, 2θ from 15° to 90°:
2theta  d (Å)  Rel. int.
15.48  5.724  100
16.38  5.411  86
24.64  3.612  72
24.79  3.591  77
26.17  3.405  56
27.42  3.253  43
29.21  3.057  75
33.39  2.683  56
34.48  2.601  47
35.66  2.518  49
44.08  2.054  46
47.67  1.908  41